1.
Structure and computed powder XRD pattern of HoZrGa2Ni4 (a crystal structure in OQMD, relaxed with PBE; Cu Kα, 1.54184 Å).
Intensities are scaled so that the largest is 1000.

Largest 12 diffraction maxima, in order of rising 2θ, 2θ = 10–90°:
2θ (°)	d [Å]	intensity	hkl
24.89	3.577	156	1 0 0
27.08	3.292	221	1 0 1
32.85	2.726	464	1 0 2
40.86	2.208	1000	1 0 3
43.84	2.065	925	1 1 0
55.85	1.646	102	2 0 2
61.48	1.508	286	2 0 3
63.06	1.474	131	1 1 4
72.32	1.306	146	1 0 6
73.58	1.287	90	2 1 2
78.53	1.218	273	2 1 3
80.57	1.192	145	3 0 0

Crystal structure
abc: 4.1302 4.1302 8.4214
angles: 90.00 90.00 120.00
Atoms (fractional coordinates):
Ho 0.0000 0.0000 0.0000
Zr 0.3333 0.6667 0.5000
Ga 0.6667 0.3333 0.2596
Ga 0.6667 0.3333 0.7404
Ni 0.0000 0.0000 0.3411
Ni 0.0000 0.0000 0.6589
Ni 0.3333 0.6667 0.1842
Ni 0.3333 0.6667 0.8158

***

2.
Structure and computed powder XRD pattern of PrHoGa6 (a crystal structure in OQMD, relaxed with PBE; Cu Kα, 1.54184 Å).
Intensities are scaled so that the largest is 1000.

Largest 12 diffraction maxima, in order of rising 2θ, 2θ = 10–90°:
2θ (°)	d [Å]	intensity	hkl
25.39	3.508	224	1 0 1
28.05	3.181	95	1 1 0
32.50	2.755	254	2 0 0
38.19	2.356	1000	2 0 1
39.62	2.275	217	0 0 2
43.46	2.082	80	2 1 0
52.14	1.754	132	2 0 2
57.99	1.590	163	2 2 0
64.31	1.449	67	3 1 1
70.94	1.329	157	2 0 3
71.58	1.318	114	4 0 1
72.52	1.303	165	2 2 2

Crystal structure
abc: 6.3618 6.3618 4.5497
angles: 90.00 90.00 120.00
Atoms (fractional coordinates):
Pr 0.0000 0.0000 0.0000
Ho 0.3333 0.6667 0.5000
Ga 0.3795 0.1897 0.5000
Ga 0.5189 0.0379 0.0000
Ga 0.5189 0.4811 0.0000
Ga 0.8103 0.1897 0.5000
Ga 0.8103 0.6205 0.5000
Ga 0.9621 0.4811 0.0000